For RbMgP2Pt4, DFT lattice parameters and positions (GGA-PBE) gives the theoretical powder diffractogram in this record (Cu Kα X-rays).
No peak broadening, texture or thermal motion is included.

Cell and atoms:
a = 4.0413 Å, b = 4.0413 Å, c = 10.3759 Å
α = 90.00°, β = 90.00°, γ = 90.00°
Sites, in units of the cell vectors:
1 Rb 0.0000 0.0000 0.0000
2 Mg 0.0000 0.0000 0.5000
3 P 0.5000 0.5000 0.2088
4 P 0.5000 0.5000 0.7912
5 Pt 0.0000 0.5000 0.3187
6 Pt 0.0000 0.5000 0.6813
7 Pt 0.5000 0.0000 0.3187
8 Pt 0.5000 0.0000 0.6813

Top 10 peaks for 2θ from 10° to 90°, in order of rising 2θ:
2θ 17.09, I 84; 2θ 25.76, I 92; 2θ 31.30, I 69; 2θ 32.50, I 57; 2θ 35.88, I 86; 2θ 40.97, I 100; 2θ 44.86, I 66; 2θ 52.45, I 55; 2θ 54.66, I 48; 2θ 80.05, I 29



For MgSn2P2Pt7, DFT lattice parameters and positions (GGA-PBE) gives the theoretical powder diffractogram in this record (Cu Kα X-rays).
No peak broadening, texture or thermal motion is included.

Cell and atoms:
a = 15.1022 Å, b = 15.1022 Å, c = 15.1022 Å
α = 165.19°, β = 165.19°, γ = 21.00°
Sites, in units of the cell vectors:
1 Mg 0.0000 0.0000 0.0000
2 Sn 0.2119 0.2119 0.0000
3 Sn 0.7881 0.7881 0.0000
4 P 0.3848 0.3848 0.0000
5 P 0.6152 0.6152 0.0000
6 Pt 0.0709 0.5709 0.5000
7 Pt 0.3067 0.3067 0.0000
8 Pt 0.4291 0.9291 0.5000
9 Pt 0.5000 0.5000 0.0000
10 Pt 0.5709 0.0709 0.5000
11 Pt 0.6933 0.6933 0.0000
12 Pt 0.9291 0.4291 0.5000

Top 10 peaks for 2θ from 10° to 90°, in order of rising 2θ:
2θ 23.05, I 26; 2θ 23.97, I 54; 2θ 33.10, I 73; 2θ 34.76, I 29; 2θ 37.39, I 100; 2θ 44.90, I 52; 2θ 46.67, I 68; 2θ 53.14, I 26; 2θ 68.14, I 22; 2θ 80.39, I 23



For Sr2MgP3Pt4, DFT lattice parameters and positions (GGA-PBE) gives the theoretical powder diffractogram in this record (Cu Kα X-rays).
No peak broadening, texture or thermal motion is included.

Cell and atoms:
a = 4.2854 Å, b = 4.2854 Å, c = 10.2803 Å
α = 90.00°, β = 90.00°, γ = 90.00°
Sites, in units of the cell vectors:
1 Sr 0.0000 0.5000 0.2435
2 Sr 0.5000 0.0000 0.7565
3 Mg 0.0000 0.0000 0.5000
4 P 0.0000 0.5000 0.8738
5 P 0.5000 0.0000 0.1262
6 P 0.5000 0.5000 0.5000
7 Pt 0.0000 0.0000 0.0000
8 Pt 0.0000 0.5000 0.6420
9 Pt 0.5000 0.0000 0.3580
10 Pt 0.5000 0.5000 0.0000

Top 10 peaks for 2θ from 10° to 90°, in order of rising 2θ:
2θ 26.00, I 37; 2θ 27.09, I 40; 2θ 30.76, I 72; 2θ 33.48, I 34; 2θ 34.35, I 100; 2θ 42.17, I 65; 2θ 46.32, I 41; 2θ 49.15, I 26; 2θ 50.22, I 26; 2θ 72.08, I 23



Repeat the first record exactly.
For RbMgP2Pt4, DFT lattice parameters and positions (GGA-PBE) gives the theoretical powder diffractogram in this record (Cu Kα X-rays).
No peak broadening, texture or thermal motion is included.

Cell and atoms:
a = 4.0413 Å, b = 4.0413 Å, c = 10.3759 Å
α = 90.00°, β = 90.00°, γ = 90.00°
Sites, in units of the cell vectors:
1 Rb 0.0000 0.0000 0.0000
2 Mg 0.0000 0.0000 0.5000
3 P 0.5000 0.5000 0.2088
4 P 0.5000 0.5000 0.7912
5 Pt 0.0000 0.5000 0.3187
6 Pt 0.0000 0.5000 0.6813
7 Pt 0.5000 0.0000 0.3187
8 Pt 0.5000 0.0000 0.6813

Top 10 peaks for 2θ from 10° to 90°, in order of rising 2θ:
2θ 17.09, I 84; 2θ 25.76, I 92; 2θ 31.30, I 69; 2θ 32.50, I 57; 2θ 35.88, I 86; 2θ 40.97, I 100; 2θ 44.86, I 66; 2θ 52.45, I 55; 2θ 54.66, I 48; 2θ 80.05, I 29



Please write out number 3 again, unchanged.
For Sr2MgP3Pt4, DFT lattice parameters and positions (GGA-PBE) gives the theoretical powder diffractogram in this record (Cu Kα X-rays).
No peak broadening, texture or thermal motion is included.

Cell and atoms:
a = 4.2854 Å, b = 4.2854 Å, c = 10.2803 Å
α = 90.00°, β = 90.00°, γ = 90.00°
Sites, in units of the cell vectors:
1 Sr 0.0000 0.5000 0.2435
2 Sr 0.5000 0.0000 0.7565
3 Mg 0.0000 0.0000 0.5000
4 P 0.0000 0.5000 0.8738
5 P 0.5000 0.0000 0.1262
6 P 0.5000 0.5000 0.5000
7 Pt 0.0000 0.0000 0.0000
8 Pt 0.0000 0.5000 0.6420
9 Pt 0.5000 0.0000 0.3580
10 Pt 0.5000 0.5000 0.0000

Top 10 peaks for 2θ from 10° to 90°, in order of rising 2θ:
2θ 26.00, I 37; 2θ 27.09, I 40; 2θ 30.76, I 72; 2θ 33.48, I 34; 2θ 34.35, I 100; 2θ 42.17, I 65; 2θ 46.32, I 41; 2θ 49.15, I 26; 2θ 50.22, I 26; 2θ 72.08, I 23